1.
For Pm4NiPb3, a crystal structure in Alexandria, relaxed with GGA-PBE gives the simulated XRD peak list in this record (Cu Kα (weighted mean of Kα1 and Kα2)).
No peak broadening, texture or thermal motion is included.

abc: 4.4575 4.5447 11.5510
angles: 90.00 90.00 90.00
Space group Pmm2 (No. 25)
Symmetry-distinct sites (fractional):
Pm1 0.0000 0.0000 0.0000 (multiplicity 1)
Pm2 0.0000 0.5000 0.2474 (multiplicity 1)
Pm3 0.5000 0.0000 0.4508 (multiplicity 1)
Pm4 0.5000 0.5000 0.7525 (multiplicity 1)
Ni1 0.5000 0.0000 0.1935 (multiplicity 1)
Pb1 0.0000 0.0000 0.7149 (multiplicity 1)
Pb2 0.0000 0.5000 0.5206 (multiplicity 1)
Pb3 0.5000 0.5000 0.0355 (multiplicity 1)

Peak list (12 most intense, 2θ = 10–80°, low angle first)
| h k l | 2θ/deg | I (rel.) |
| --- | --- | --- |
| 1 1 1 | 29.11 | 100 |
| 1 0 3 | 30.68 | 12 |
| 0 0 4 | 30.97 | 28 |
| 1 1 3 | 36.64 | 76 |
| 0 1 4 | 36.88 | 18 |
| 0 2 0 | 39.66 | 27 |
| 2 0 0 | 40.47 | 25 |
| 0 2 4 | 51.15 | 14 |
| 2 0 4 | 51.81 | 15 |
| 2 1 4 | 55.88 | 14 |
| 2 2 0 | 57.96 | 18 |
| 2 2 4 | 67.16 | 14 |

2.
For AcEr6Tm2, a crystal structure in Alexandria, relaxed with GGA-PBE gives the simulated XRD peak list in this record (Cu Kα (weighted mean of Kα1 and Kα2)).
No peak broadening, texture or thermal motion is included.

abc: 3.5954 3.5954 26.0602
angles: 90.00 90.00 120.00
Space group P-6m2 (No. 187)
Symmetry-distinct sites (fractional):
Ac1 0.0000 0.0000 0.0000 (multiplicity 1)
Er1 0.0000 0.0000 0.2246 (multiplicity 2)
Er2 0.0000 0.0000 0.4357 (multiplicity 2)
Er3 0.3333 0.6667 0.1188 (multiplicity 2)
Tm1 0.3333 0.6667 0.3312 (multiplicity 2)

Peak list (12 most intense, 2θ = 10–80°, low angle first)
| h k l | 2θ/deg | I (rel.) |
| --- | --- | --- |
| 1 0 0 | 28.67 | 56 |
| 0 0 9 | 30.88 | 53 |
| 1 0 4 | 31.85 | 91 |
| 1 0 5 | 33.53 | 100 |
| 1 0 6 | 35.47 | 17 |
| 1 0 9 | 42.64 | 35 |
| 1 1 0 | 50.79 | 44 |
| 1 0 13 | 54.44 | 14 |
| 1 0 14 | 57.70 | 23 |
| 1 1 9 | 60.63 | 47 |
| 2 0 4 | 61.21 | 14 |
| 2 0 5 | 62.24 | 17 |

3.
For HoZn10Pd2, a crystal structure in Alexandria, relaxed with GGA-PBE gives the simulated XRD peak list in this record (Cu Kα (weighted mean of Kα1 and Kα2)).
No peak broadening, texture or thermal motion is included.

abc: 5.4425 12.3274 12.4920
angles: 90.00 90.00 90.00
Space group Fmmm (No. 69)
Symmetry-distinct sites (fractional):
Ho1 0.0000 0.0000 0.0000 (multiplicity 4)
Zn1 0.0000 0.1080 0.3929 (multiplicity 16)
Zn2 0.0000 0.1729 0.1768 (multiplicity 16)
Zn3 0.2500 0.2500 0.0000 (multiplicity 8)
Pd1 0.2500 0.0000 0.2500 (multiplicity 8)

Peak list (12 most intense, 2θ = 10–80°, low angle first)
| h k l | 2θ/deg | I (rel.) |
| --- | --- | --- |
| 0 2 0 | 14.37 | 13 |
| 2 0 0 | 32.91 | 14 |
| 1 3 3 | 34.82 | 51 |
| 2 2 2 | 38.95 | 100 |
| 1 1 5 | 40.39 | 52 |
| 1 5 1 | 40.82 | 47 |
| 0 4 4 | 41.15 | 65 |
| 2 0 4 | 44.13 | 29 |
| 2 4 0 | 44.41 | 26 |
| 0 8 0 | 60.02 | 14 |
| 3 1 5 | 63.87 | 18 |
| 2 6 6 | 73.52 | 28 |

4.
For Dy2TaGe3Ir4, a crystal structure in Alexandria, relaxed with GGA-PBE gives the simulated XRD peak list in this record (Cu Kα (weighted mean of Kα1 and Kα2)).
No peak broadening, texture or thermal motion is included.

abc: 4.1417 4.1417 10.7790
angles: 90.00 90.00 90.00
Space group P-4m2 (No. 115)
Symmetry-distinct sites (fractional):
Dy1 0.0000 0.5000 0.2339 (multiplicity 2)
Ta1 0.0000 0.0000 0.5000 (multiplicity 1)
Ge1 0.0000 0.5000 0.8700 (multiplicity 2)
Ge2 0.5000 0.5000 0.5000 (multiplicity 1)
Ir1 0.0000 0.0000 0.0000 (multiplicity 1)
Ir2 0.0000 0.5000 0.6424 (multiplicity 2)
Ir3 0.5000 0.5000 0.0000 (multiplicity 1)

Peak list (12 most intense, 2θ = 10–80°, low angle first)
| h k l | 2θ/deg | I (rel.) |
| --- | --- | --- |
| 0 0 2 | 16.45 | 7 |
| 1 0 2 | 27.15 | 16 |
| 1 0 3 | 33.00 | 36 |
| 1 1 2 | 34.87 | 100 |
| 2 0 0 | 43.71 | 55 |
| 1 1 4 | 45.76 | 30 |
| 1 0 5 | 47.55 | 24 |
| 2 1 3 | 55.84 | 16 |
| 1 1 6 | 60.45 | 8 |
| 2 2 0 | 63.54 | 18 |
| 2 1 5 | 66.56 | 17 |
| 3 1 2 | 74.57 | 22 |

5.
For LiAg6Pd2, a crystal structure in Alexandria, relaxed with GGA-PBE gives the simulated XRD peak list in this record (Cu Kα (weighted mean of Kα1 and Kα2)).
No peak broadening, texture or thermal motion is included.

abc: 10.4278 9.6904 7.4603
angles: 90.00 125.53 90.00
Space group C2/c (No. 15)
Symmetry-distinct sites (fractional):
Li1 0.0000 0.1457 0.2500 (multiplicity 4)
Ag1 0.0546 0.3762 0.9748 (multiplicity 8)
Ag2 0.1057 0.1124 0.6851 (multiplicity 8)
Ag3 0.2268 0.1318 0.1445 (multiplicity 8)
Pd1 0.1707 0.3745 0.4178 (multiplicity 8)

Peak list (12 most intense, 2θ = 10–80°, low angle first)
| h k l | 2θ/deg | I (rel.) |
| --- | --- | --- |
| 0 4 0 | 37.11 | 67 |
| 3 1 -3 | 37.82 | 60 |
| 1 1 2 | 37.98 | 61 |
| 4 2 -1 | 40.51 | 100 |
| 3 3 -3 | 46.48 | 35 |
| 1 3 2 | 46.61 | 31 |
| 3 5 -3 | 60.92 | 12 |
| 1 5 2 | 61.03 | 15 |
| 7 1 -4 | 65.58 | 11 |
| 4 6 -1 | 69.19 | 18 |
| 2 2 -5 | 69.80 | 18 |
| 3 7 -3 | 79.54 | 12 |

6.
For PrDy2YHo6, a crystal structure in Alexandria, relaxed with GGA-PBE gives the simulated XRD peak list in this record (Cu Kα (weighted mean of Kα1 and Kα2)).
No peak broadening, texture or thermal motion is included.

abc: 9.0530 15.0598 9.5338
angles: 90.00 97.03 90.00
Space group C2/c (No. 15)
Symmetry-distinct sites (fractional):
Pr1 0.0000 0.0256 0.2500 (multiplicity 4)
Dy1 0.2487 0.4470 0.4541 (multiplicity 8)
Y1 0.0000 0.4092 0.7500 (multiplicity 4)
Ho1 0.0637 0.1872 0.9428 (multiplicity 8)
Ho2 0.0998 0.3911 0.1187 (multiplicity 8)
Ho3 0.2072 0.2269 0.3180 (multiplicity 8)

Peak list (12 most intense, 2θ = 10–80°, low angle first)
| h k l | 2θ/deg | I (rel.) |
| --- | --- | --- |
| 2 2 -2 | 28.27 | 13 |
| 1 3 2 | 28.58 | 38 |
| 3 1 -1 | 30.75 | 98 |
| 2 2 2 | 31.38 | 100 |
| 2 4 -1 | 31.70 | 32 |
| 1 5 -1 | 32.39 | 23 |
| 1 3 -3 | 34.00 | 54 |
| 2 2 -3 | 34.80 | 12 |
| 1 1 5 | 50.87 | 12 |
| 4 2 -4 | 54.11 | 15 |
| 3 7 -3 | 58.52 | 11 |
| 2 0 -6 | 59.70 | 13 |

- Which formula does entry 1 have?
  Pm4NiPb3

Copy entry 5 word for word.
For LiAg6Pd2, a crystal structure in Alexandria, relaxed with GGA-PBE gives the simulated XRD peak list in this record (Cu Kα (weighted mean of Kα1 and Kα2)).
No peak broadening, texture or thermal motion is included.

abc: 10.4278 9.6904 7.4603
angles: 90.00 125.53 90.00
Space group C2/c (No. 15)
Symmetry-distinct sites (fractional):
Li1 0.0000 0.1457 0.2500 (multiplicity 4)
Ag1 0.0546 0.3762 0.9748 (multiplicity 8)
Ag2 0.1057 0.1124 0.6851 (multiplicity 8)
Ag3 0.2268 0.1318 0.1445 (multiplicity 8)
Pd1 0.1707 0.3745 0.4178 (multiplicity 8)

Peak list (12 most intense, 2θ = 10–80°, low angle first)
| h k l | 2θ/deg | I (rel.) |
| --- | --- | --- |
| 0 4 0 | 37.11 | 67 |
| 3 1 -3 | 37.82 | 60 |
| 1 1 2 | 37.98 | 61 |
| 4 2 -1 | 40.51 | 100 |
| 3 3 -3 | 46.48 | 35 |
| 1 3 2 | 46.61 | 31 |
| 3 5 -3 | 60.92 | 12 |
| 1 5 2 | 61.03 | 15 |
| 7 1 -4 | 65.58 | 11 |
| 4 6 -1 | 69.19 | 18 |
| 2 2 -5 | 69.80 | 18 |
| 3 7 -3 | 79.54 | 12 |